No. 1
# Pr4SmDy2Tm
Theoretical powder diffractogram, Cu Kα (λ = 1.5418 Å). Input: a crystal structure in Alexandria, relaxed with GGA-PBE.
Kinematic intensities with the Lorentz-polarization factor, no thermal factor.

Atomic structure:
Unit cell a=5.152 b=5.187 c=10.131 alpha=90.00 beta=90.00 gamma=90.00
Sites, in units of the cell vectors:
1 Pr 0.000 0.000 0.248
2 Pr 0.000 0.000 0.752
3 Pr 0.500 0.500 0.248
4 Pr 0.500 0.500 0.752
5 Sm 0.000 0.500 0.500
6 Dy 0.000 0.500 0.000
7 Dy 0.500 0.000 0.500
8 Tm 0.500 0.000 0.000

Largest 8 diffraction maxima, in order of falling intensity, 10 to 90 degrees two-theta:
2.964 Å, 30.15°, I = 1000; 2.594 Å, 34.58°, I = 174; 2.576 Å, 34.83°, I = 171; 2.533 Å, 35.44°, I = 163; 1.560 Å, 59.25°, I = 148; 1.552 Å, 59.58°, I = 145; 1.533 Å, 60.39°, I = 139; 1.482 Å, 62.69°, I = 124


No. 2
# SrNb3NO7
Theoretical powder diffractogram, Cu Kα (λ = 1.5418 Å). Input: a crystal structure in Alexandria, relaxed with GGA-PBE.
Kinematic intensities with the Lorentz-polarization factor, no thermal factor.

Atomic structure:
Unit cell a=10.584 b=10.584 c=9.006 alpha=90.51 beta=90.51 gamma=20.87
Sites, in units of the cell vectors:
1 Sr 0.000 0.000 0.000
2 Sr 0.038 0.038 0.495
3 Nb 0.261 0.261 0.997
4 Nb 0.395 0.395 0.312
5 Nb 0.396 0.396 0.685
6 Nb 0.644 0.644 0.811
7 Nb 0.654 0.654 0.206
8 Nb 0.786 0.786 0.522
9 N 0.447 0.447 0.496
10 N 0.864 0.864 0.657
11 O 0.166 0.166 0.152
12 O 0.168 0.168 0.837
13 O 0.306 0.306 0.485
14 O 0.315 0.315 0.156
15 O 0.316 0.316 0.844
16 O 0.457 0.457 0.167
17 O 0.459 0.459 0.831
18 O 0.582 0.582 0.667
19 O 0.584 0.584 0.328
20 O 0.592 0.592 0.992
21 O 0.721 0.721 0.345
22 O 0.721 0.721 0.661
23 O 0.727 0.727 0.000
24 O 0.868 0.868 0.335

Largest 8 diffraction maxima, in order of falling intensity, 10 to 90 degrees two-theta:
2.891 Å, 30.93°, I = 1000; 3.390 Å, 26.29°, I = 950; 3.421 Å, 26.05°, I = 915; 3.145 Å, 28.38°, I = 799; 3.356 Å, 26.56°, I = 629; 2.820 Å, 31.73°, I = 482; 1.917 Å, 47.42°, I = 422; 1.857 Å, 49.06°, I = 336


No. 3
# HoTm2Pt
Theoretical powder diffractogram, Cu Kα (λ = 1.5418 Å). Input: a crystal structure in Alexandria, relaxed with GGA-PBE.
Kinematic intensities with the Lorentz-polarization factor, no thermal factor.

Atomic structure:
Unit cell a=6.991 b=9.422 c=6.431 alpha=90.00 beta=90.00 gamma=90.00
Sites, in units of the cell vectors:
1 Ho 0.024 0.250 0.127
2 Ho 0.476 0.750 0.627
3 Ho 0.524 0.250 0.373
4 Ho 0.976 0.750 0.873
5 Tm 0.180 0.061 0.679
6 Tm 0.180 0.439 0.679
7 Tm 0.320 0.561 0.179
8 Tm 0.320 0.939 0.179
9 Tm 0.680 0.061 0.821
10 Tm 0.680 0.439 0.821
11 Tm 0.820 0.561 0.321
12 Tm 0.820 0.939 0.321
13 Pt 0.111 0.750 0.450
14 Pt 0.389 0.250 0.950
15 Pt 0.611 0.750 0.050
16 Pt 0.889 0.250 0.550

Largest 8 diffraction maxima, in order of falling intensity, 10 to 90 degrees two-theta:
2.790 Å, 32.08°, I = 1000; 2.807 Å, 31.88°, I = 729; 2.822 Å, 31.71°, I = 688; 2.573 Å, 34.87°, I = 660; 2.920 Å, 30.61°, I = 646; 2.617 Å, 34.27°, I = 642; 2.336 Å, 38.54°, I = 515; 2.656 Å, 33.75°, I = 483


No. 4
# InFe2Au
Theoretical powder diffractogram, Cu Kα (λ = 1.5418 Å). Input: a crystal structure in Alexandria, relaxed with GGA-PBE.
Kinematic intensities with the Lorentz-polarization factor, no thermal factor.

Atomic structure:
Unit cell a=3.126 b=3.126 c=6.497 alpha=90.00 beta=90.00 gamma=90.00
Sites, in units of the cell vectors:
1 In 0.000 0.000 0.000
2 Fe 0.000 0.000 0.561
3 Fe 0.500 0.500 0.734
4 Au 0.500 0.500 0.303

Largest 8 diffraction maxima, in order of falling intensity, 10 to 90 degrees two-theta:
2.252 Å, 40.03°, I = 1000; 2.210 Å, 40.83°, I = 547; 2.817 Å, 31.77°, I = 464; 1.284 Å, 73.80°, I = 318; 6.497 Å, 13.63°, I = 210; 1.563 Å, 59.11°, I = 179; 1.547 Å, 59.79°, I = 167; 2.166 Å, 41.71°, I = 121


No. 5
# Sm3Te3I
Theoretical powder diffractogram, Cu Kα (λ = 1.5418 Å). Input: a crystal structure in Alexandria, relaxed with GGA-PBE.
Kinematic intensities with the Lorentz-polarization factor, no thermal factor.

Atomic structure:
Unit cell a=4.432 b=4.432 c=12.401 alpha=90.00 beta=90.00 gamma=90.00
Sites, in units of the cell vectors:
1 Sm 0.000 0.000 0.000
2 Sm 0.500 0.500 0.252
3 Sm 0.500 0.500 0.748
4 Te 0.000 0.000 0.259
5 Te 0.000 0.000 0.741
6 Te 0.500 0.500 0.000
7 I 0.500 0.500 0.500

Largest 8 diffraction maxima, in order of falling intensity, 10 to 90 degrees two-theta:
3.134 Å, 28.48°, I = 1000; 2.204 Å, 40.95°, I = 738; 3.100 Å, 28.80°, I = 479; 1.803 Å, 50.64°, I = 398; 2.216 Å, 40.72°, I = 380; 1.277 Å, 74.27°, I = 253; 1.401 Å, 66.75°, I = 175; 1.398 Å, 66.91°, I = 171


No. 6
# Nb7W5
Theoretical powder diffractogram, Cu Kα (λ = 1.5418 Å). Input: a crystal structure in Alexandria, relaxed with GGA-PBE.
Kinematic intensities with the Lorentz-polarization factor, no thermal factor.

Atomic structure:
Unit cell a=8.646 b=8.646 c=4.768 alpha=90.00 beta=90.00 gamma=143.42
Sites, in units of the cell vectors:
1 Nb 0.000 0.000 0.000
2 Nb 0.166 0.336 0.500
3 Nb 0.178 0.822 0.000
4 Nb 0.336 0.166 0.500
5 Nb 0.664 0.834 0.500
6 Nb 0.822 0.178 0.000
7 Nb 0.834 0.664 0.500
8 W 0.000 0.500 0.500
9 W 0.341 0.659 0.000
10 W 0.500 0.000 0.500
11 W 0.500 0.500 0.000
12 W 0.659 0.341 0.000

Largest 8 diffraction maxima, in order of falling intensity, 10 to 90 degrees two-theta:
2.358 Å, 38.16°, I = 1000; 2.373 Å, 37.91°, I = 979; 1.927 Å, 47.17°, I = 525; 2.384 Å, 37.74°, I = 516; 1.498 Å, 61.93°, I = 463; 1.178 Å, 81.77°, I = 210; 1.371 Å, 68.41°, I = 196; 1.183 Å, 81.30°, I = 190


No. 7
# Ba9Te2Br14
Theoretical powder diffractogram, Cu Kα (λ = 1.5418 Å). Input: a crystal structure in Alexandria, relaxed with GGA-PBE.
Kinematic intensities with the Lorentz-polarization factor, no thermal factor.

Atomic structure:
Unit cell a=9.744 b=9.744 c=13.386 alpha=90.00 beta=90.00 gamma=120.00
Sites, in units of the cell vectors:
1 Ba 0.000 0.000 0.000
2 Ba 0.041 0.337 0.343
3 Ba 0.296 0.959 0.343
4 Ba 0.333 0.667 0.008
5 Ba 0.337 0.296 0.657
6 Ba 0.663 0.704 0.343
7 Ba 0.667 0.333 0.992
8 Ba 0.704 0.041 0.657
9 Ba 0.959 0.663 0.657
10 Te 0.333 0.667 0.252
11 Te 0.667 0.333 0.748
12 Br 0.000 0.000 0.257
13 Br 0.000 0.000 0.743
14 Br 0.043 0.693 0.907
15 Br 0.055 0.375 0.591
16 Br 0.307 0.350 0.907
17 Br 0.320 0.945 0.591
18 Br 0.350 0.043 0.093
19 Br 0.375 0.320 0.409
20 Br 0.625 0.680 0.591
21 Br 0.650 0.957 0.907
22 Br 0.680 0.055 0.409
23 Br 0.693 0.650 0.093
24 Br 0.945 0.625 0.409
25 Br 0.957 0.307 0.093

Largest 8 diffraction maxima, in order of falling intensity, 10 to 90 degrees two-theta:
2.758 Å, 32.46°, I = 1000; 2.813 Å, 31.81°, I = 890; 4.578 Å, 19.39°, I = 775; 1.969 Å, 46.09°, I = 282; 3.103 Å, 28.77°, I = 269; 4.462 Å, 19.90°, I = 266; 1.583 Å, 58.30°, I = 248; 1.613 Å, 57.09°, I = 247


No. 8
# NaZn4Ag6
Theoretical powder diffractogram, Cu Kα (λ = 1.5418 Å). Input: a crystal structure in Alexandria, relaxed with GGA-PBE.
Kinematic intensities with the Lorentz-polarization factor, no thermal factor.

Atomic structure:
Unit cell a=6.879 b=6.879 c=6.879 alpha=122.95 beta=122.95 gamma=84.97
Sites, in units of the cell vectors:
1 Na 0.000 0.000 0.000
2 Zn 0.258 0.571 0.000
3 Zn 0.429 0.429 0.687
4 Zn 0.571 0.258 0.000
5 Zn 0.742 0.742 0.313
6 Ag 0.000 0.500 0.500
7 Ag 0.093 0.093 0.568
8 Ag 0.475 0.907 0.000
9 Ag 0.500 0.000 0.500
10 Ag 0.525 0.525 0.432
11 Ag 0.907 0.475 0.000

Largest 8 diffraction maxima, in order of falling intensity, 10 to 90 degrees two-theta:
2.758 Å, 32.47°, I = 1000; 2.226 Å, 40.52°, I = 900; 2.323 Å, 38.76°, I = 544; 5.515 Å, 16.07°, I = 479; 2.218 Å, 40.67°, I = 400; 1.923 Å, 47.27°, I = 359; 3.426 Å, 26.01°, I = 315; 2.078 Å, 43.56°, I = 300